Entry 1:
Structure and simulated X-ray powder pattern of LiMnP2O7 (a GGA+U-relaxed structure; copper Kα).
No peak broadening, texture or thermal motion is included.

Largest 10 diffraction maxima, low angle first, 2θ from 10° to 90°:
- 2θ = 14.40°, I 67, hkl 0 1 -1
- 2θ = 21.60°, I 100, hkl 1 -1 0
- 2θ = 22.68°, I 56, hkl 1 1 0
- 2θ = 23.87°, I 82, hkl 0 0 2
- 2θ = 30.60°, I 27, hkl 1 -2 1
- 2θ = 31.75°, I 29, hkl 1 2 -1
- 2θ = 33.30°, I 15, hkl 0 1 -3
- 2θ = 34.73°, I 30, hkl 2 0 0
- 2θ = 37.47°, I 15, hkl 2 -1 1
- 2θ = 39.36°, I 14, hkl 0 3 -1

Cell and atoms:
```
data_LiMnP2O7
_cell_length_a 5.1719
_cell_length_b 6.9124
_cell_length_c 8.0719
_cell_angle_alpha 112.50
_cell_angle_beta 90.69
_cell_angle_gamma 92.31
_symmetry_space_group_name_H-M 'P 1'
_symmetry_Int_Tables_number 1
loop_
_symmetry_equiv_pos_as_xyz
'x,y,z'
loop_
_atom_site_label
_atom_site_fract_x
_atom_site_fract_y
_atom_site_fract_z
_atom_site_occupancy
Li1 0.0000 0.0000 0.0000 1
Li2 0.4654 0.3259 0.5619 1
Mn1 0.0052 0.3794 0.8428 1
Mn2 0.5397 0.9301 0.3012 1
P1 0.0464 0.6262 0.2675 1
P2 0.4785 0.7023 0.8733 1
P3 0.5206 0.0507 0.7473 1
P4 0.9924 0.2743 0.3965 1
O1 0.0343 0.5112 0.4085 1
O2 0.0827 0.3032 0.5877 1
O3 0.1588 0.1278 0.2536 1
O4 0.1873 0.6635 0.8978 1
O5 0.3258 0.1817 0.8753 1
O6 0.3364 0.6744 0.2510 1
O7 0.4675 0.0388 0.5559 1
O8 0.4847 0.8091 0.7270 1
O9 0.6128 0.8653 0.0443 1
O10 0.6244 0.5039 0.7867 1
O11 0.6992 0.2189 0.3611 1
O12 0.8089 0.1085 0.8070 1
O13 0.8880 0.8151 0.3474 1
O14 0.9330 0.4578 0.0907 1
```

Entry 2:
Structure and simulated X-ray powder pattern of Li2MnP3O10 (a GGA+U-relaxed structure; copper Kα).
No peak broadening, texture or thermal motion is included.

Largest 10 diffraction maxima, low angle first, 2θ from 10° to 90°:
- 2θ = 19.15°, I 24, hkl 0 0 2
- 2θ = 20.62°, I 19, hkl 0 2 0
- 2θ = 22.75°, I 29, hkl 1 1 -1
- 2θ = 28.30°, I 100, hkl 1 2 0
- 2θ = 28.89°, I 13, hkl 0 0 3
- 2θ = 29.05°, I 30, hkl 1 2 -1
- 2θ = 30.92°, I 17, hkl 1 1 2
- 2θ = 32.53°, I 27, hkl 1 0 -3
- 2θ = 32.81°, I 20, hkl 1 2 -2
- 2θ = 35.76°, I 15, hkl 0 2 3

Cell and atoms:
```
data_Li2MnP3O10
_cell_length_a 4.6743
_cell_length_b 8.6133
_cell_length_c 9.3621
_cell_angle_alpha 90.00
_cell_angle_beta 97.96
_cell_angle_gamma 90.00
_symmetry_space_group_name_H-M 'P 1 21/m 1'
_symmetry_Int_Tables_number 11
loop_
_symmetry_equiv_pos_as_xyz
'x,y,z'
'-x,-y,-z'
'-x,y+1/2,-z'
'x,-y+1/2,z'
loop_
_atom_site_label
_atom_site_fract_x
_atom_site_fract_y
_atom_site_fract_z
_atom_site_occupancy
Li1 0.0398 0.0792 0.3762 1
Mn1 0.0000 0.0000 0.0000 1
P1 0.3295 0.2500 0.8303 1
P2 0.4002 0.7500 0.4725 1
P3 0.4682 0.2500 0.1374 1
O1 0.1489 0.1018 0.8398 1
O2 0.2263 0.6024 0.4712 1
O3 0.2524 0.7500 0.7640 1
O4 0.2811 0.1019 0.1380 1
O5 0.3103 0.2500 0.4330 1
O6 0.4235 0.7500 0.0272 1
O7 0.4970 0.7500 0.2943 1
```

Entry 3:
Structure and simulated X-ray powder pattern of Li7MnP4O16 (a GGA+U-relaxed structure; copper Kα).
No peak broadening, texture or thermal motion is included.

Largest 10 diffraction maxima, low angle first, 2θ from 10° to 90°:
- 2θ = 17.24°, I 28, hkl 0 1 1
- 2θ = 20.57°, I 98, hkl 1 0 1
- 2θ = 22.94°, I 100, hkl 0 1 2
- 2θ = 23.93°, I 32, hkl 1 1 0
- 2θ = 25.61°, I 20, hkl 1 0 2
- 2θ = 30.03°, I 35, hkl 0 2 0
- 2θ = 35.74°, I 54, hkl 1 1 -3
- 2θ = 36.68°, I 40, hkl 1 2 1
- 2θ = 39.83°, I 34, hkl 1 2 -2
- 2θ = 41.79°, I 24, hkl 2 1 -1

Cell and atoms:
```
data_Li7MnP4O16
_cell_length_a 4.7628
_cell_length_b 5.9510
_cell_length_c 10.2208
_cell_angle_alpha 90.00
_cell_angle_beta 90.18
_cell_angle_gamma 90.00
_symmetry_space_group_name_H-M 'P 1 m 1'
_symmetry_Int_Tables_number 6
loop_
_symmetry_equiv_pos_as_xyz
'x,y,z'
'x,-y,z'
loop_
_atom_site_label
_atom_site_fract_x
_atom_site_fract_y
_atom_site_fract_z
_atom_site_occupancy
Li1 0.0000 0.0000 0.0000 1
Li2 0.0266 0.2382 0.2872 1
Li3 0.0464 0.5000 0.5520 1
Li4 0.5374 0.2381 0.7591 1
Li5 0.5505 0.0000 0.4961 1
Mn1 0.5156 0.5000 0.0559 1
P1 0.0965 0.0000 0.6827 1
P2 0.4634 0.0000 0.1818 1
P3 0.5938 0.5000 0.3656 1
P4 0.9362 0.5000 0.8801 1
O1 0.2169 0.0000 0.8254 1
O2 0.2308 0.2086 0.6156 1
O3 0.2601 0.5000 0.8936 1
O4 0.2738 0.5000 0.3609 1
O5 0.3202 0.0000 0.3160 1
O6 0.3311 0.2126 0.1073 1
O7 0.7229 0.5000 0.2170 1
O8 0.7296 0.2917 0.4285 1
O9 0.7758 0.0000 0.6810 1
O10 0.7820 0.0000 0.1801 1
O11 0.7885 0.2996 0.9552 1
O12 0.8344 0.5000 0.7389 1
```

Entry 4:
Structure and simulated X-ray powder pattern of LiMn2P3O10 (a GGA+U-relaxed structure; copper Kα).
No peak broadening, texture or thermal motion is included.

Largest 10 diffraction maxima, low angle first, 2θ from 10° to 90°:
- 2θ = 20.23°, I 18, hkl 0 2 0
- 2θ = 22.49°, I 15, hkl 1 0 1
- 2θ = 24.71°, I 27, hkl 1 1 1
- 2θ = 25.48°, I 27, hkl 1 0 -2
- 2θ = 27.91°, I 100, hkl 1 2 0
- 2θ = 30.85°, I 31, hkl 1 1 2
- 2θ = 32.10°, I 16, hkl 0 3 1
- 2θ = 32.99°, I 38, hkl 1 0 -3
- 2θ = 35.89°, I 21, hkl 0 2 3
- 2θ = 56.16°, I 19, hkl 2 3 2

Cell and atoms:
```
data_LiMn2P3O10
_cell_length_a 4.7020
_cell_length_b 8.7836
_cell_length_c 9.2116
_cell_angle_alpha 90.00
_cell_angle_beta 97.42
_cell_angle_gamma 90.00
_symmetry_space_group_name_H-M 'P 1 21/m 1'
_symmetry_Int_Tables_number 11
loop_
_symmetry_equiv_pos_as_xyz
'x,y,z'
'-x,-y,-z'
'-x,y+1/2,-z'
'x,-y+1/2,z'
loop_
_atom_site_label
_atom_site_fract_x
_atom_site_fract_y
_atom_site_fract_z
_atom_site_occupancy
Li1 0.0000 0.0000 0.0000 1
Mn1 0.0353 0.0645 0.3321 1
P1 0.3296 0.2500 0.8240 1
P2 0.4001 0.7500 0.4627 1
P3 0.4560 0.2500 0.1392 1
O1 0.1590 0.1035 0.8172 1
O2 0.2286 0.6040 0.4815 1
O3 0.2514 0.7500 0.7655 1
O4 0.2813 0.1046 0.1514 1
O5 0.3030 0.2500 0.4469 1
O6 0.4452 0.7500 0.2900 1
O7 0.4479 0.7500 0.0274 1
```

Entry 5:
Structure and simulated X-ray powder pattern of LiMnPO4 (a GGA+U-relaxed structure; copper Kα).
No peak broadening, texture or thermal motion is included.

Largest 10 diffraction maxima, low angle first, 2θ from 10° to 90°:
- 2θ = 16.09°, I 58, hkl 1 1 0
- 2θ = 21.19°, I 53, hkl 2 1 0
- 2θ = 22.05°, I 100, hkl 0 1 1
- 2θ = 23.46°, I 35, hkl 1 1 1
- 2θ = 27.26°, I 19, hkl 2 1 1
- 2θ = 32.51°, I 47, hkl 2 2 0
- 2θ = 34.30°, I 43, hkl 0 0 2
- 2θ = 36.41°, I 26, hkl 4 0 1
- 2θ = 36.88°, I 25, hkl 2 2 1
- 2θ = 57.32°, I 20, hkl 6 2 0

Cell and atoms:
```
data_LiMnPO4
_cell_length_a 11.1946
_cell_length_b 6.3278
_cell_length_c 5.2291
_cell_angle_alpha 90.00
_cell_angle_beta 90.00
_cell_angle_gamma 90.00
_symmetry_space_group_name_H-M 'P n a 21'
_symmetry_Int_Tables_number 33
loop_
_symmetry_equiv_pos_as_xyz
'x,y,z'
'-x,-y,z+1/2'
'-x+1/2,y+1/2,z+1/2'
'x+1/2,-y+1/2,z'
loop_
_atom_site_label
_atom_site_fract_x
_atom_site_fract_y
_atom_site_fract_z
_atom_site_occupancy
Li1 0.1677 0.0203 0.0000 1
Mn1 0.0807 0.2942 0.4952 1
P1 0.1791 0.5224 0.9987 1
O1 0.1009 0.7212 0.9344 1
O2 0.1168 0.3212 0.8869 1
O3 0.1874 0.5006 0.2936 1
O4 0.1939 0.0466 0.3812 1
```

What did the fifth record say?
Structure and simulated X-ray powder pattern of LiMnPO4 (a GGA+U-relaxed structure; copper Kα).
No peak broadening, texture or thermal motion is included.

Largest 10 diffraction maxima, low angle first, 2θ from 10° to 90°:
- 2θ = 16.09°, I 58, hkl 1 1 0
- 2θ = 21.19°, I 53, hkl 2 1 0
- 2θ = 22.05°, I 100, hkl 0 1 1
- 2θ = 23.46°, I 35, hkl 1 1 1
- 2θ = 27.26°, I 19, hkl 2 1 1
- 2θ = 32.51°, I 47, hkl 2 2 0
- 2θ = 34.30°, I 43, hkl 0 0 2
- 2θ = 36.41°, I 26, hkl 4 0 1
- 2θ = 36.88°, I 25, hkl 2 2 1
- 2θ = 57.32°, I 20, hkl 6 2 0

Cell and atoms:
```
data_LiMnPO4
_cell_length_a 11.1946
_cell_length_b 6.3278
_cell_length_c 5.2291
_cell_angle_alpha 90.00
_cell_angle_beta 90.00
_cell_angle_gamma 90.00
_symmetry_space_group_name_H-M 'P n a 21'
_symmetry_Int_Tables_number 33
loop_
_symmetry_equiv_pos_as_xyz
'x,y,z'
'-x,-y,z+1/2'
'-x+1/2,y+1/2,z+1/2'
'x+1/2,-y+1/2,z'
loop_
_atom_site_label
_atom_site_fract_x
_atom_site_fract_y
_atom_site_fract_z
_atom_site_occupancy
Li1 0.1677 0.0203 0.0000 1
Mn1 0.0807 0.2942 0.4952 1
P1 0.1791 0.5224 0.9987 1
O1 0.1009 0.7212 0.9344 1
O2 0.1168 0.3212 0.8869 1
O3 0.1874 0.5006 0.2936 1
O4 0.1939 0.0466 0.3812 1
```

Please write out number 3 again, unchanged.
Structure and simulated X-ray powder pattern of Li7MnP4O16 (a GGA+U-relaxed structure; copper Kα).
No peak broadening, texture or thermal motion is included.

Largest 10 diffraction maxima, low angle first, 2θ from 10° to 90°:
- 2θ = 17.24°, I 28, hkl 0 1 1
- 2θ = 20.57°, I 98, hkl 1 0 1
- 2θ = 22.94°, I 100, hkl 0 1 2
- 2θ = 23.93°, I 32, hkl 1 1 0
- 2θ = 25.61°, I 20, hkl 1 0 2
- 2θ = 30.03°, I 35, hkl 0 2 0
- 2θ = 35.74°, I 54, hkl 1 1 -3
- 2θ = 36.68°, I 40, hkl 1 2 1
- 2θ = 39.83°, I 34, hkl 1 2 -2
- 2θ = 41.79°, I 24, hkl 2 1 -1

Cell and atoms:
```
data_Li7MnP4O16
_cell_length_a 4.7628
_cell_length_b 5.9510
_cell_length_c 10.2208
_cell_angle_alpha 90.00
_cell_angle_beta 90.18
_cell_angle_gamma 90.00
_symmetry_space_group_name_H-M 'P 1 m 1'
_symmetry_Int_Tables_number 6
loop_
_symmetry_equiv_pos_as_xyz
'x,y,z'
'x,-y,z'
loop_
_atom_site_label
_atom_site_fract_x
_atom_site_fract_y
_atom_site_fract_z
_atom_site_occupancy
Li1 0.0000 0.0000 0.0000 1
Li2 0.0266 0.2382 0.2872 1
Li3 0.0464 0.5000 0.5520 1
Li4 0.5374 0.2381 0.7591 1
Li5 0.5505 0.0000 0.4961 1
Mn1 0.5156 0.5000 0.0559 1
P1 0.0965 0.0000 0.6827 1
P2 0.4634 0.0000 0.1818 1
P3 0.5938 0.5000 0.3656 1
P4 0.9362 0.5000 0.8801 1
O1 0.2169 0.0000 0.8254 1
O2 0.2308 0.2086 0.6156 1
O3 0.2601 0.5000 0.8936 1
O4 0.2738 0.5000 0.3609 1
O5 0.3202 0.0000 0.3160 1
O6 0.3311 0.2126 0.1073 1
O7 0.7229 0.5000 0.2170 1
O8 0.7296 0.2917 0.4285 1
O9 0.7758 0.0000 0.6810 1
O10 0.7820 0.0000 0.1801 1
O11 0.7885 0.2996 0.9552 1
O12 0.8344 0.5000 0.7389 1
```

What did the second record say?
Structure and simulated X-ray powder pattern of Li2MnP3O10 (a GGA+U-relaxed structure; copper Kα).
No peak broadening, texture or thermal motion is included.

Largest 10 diffraction maxima, low angle first, 2θ from 10° to 90°:
- 2θ = 19.15°, I 24, hkl 0 0 2
- 2θ = 20.62°, I 19, hkl 0 2 0
- 2θ = 22.75°, I 29, hkl 1 1 -1
- 2θ = 28.30°, I 100, hkl 1 2 0
- 2θ = 28.89°, I 13, hkl 0 0 3
- 2θ = 29.05°, I 30, hkl 1 2 -1
- 2θ = 30.92°, I 17, hkl 1 1 2
- 2θ = 32.53°, I 27, hkl 1 0 -3
- 2θ = 32.81°, I 20, hkl 1 2 -2
- 2θ = 35.76°, I 15, hkl 0 2 3

Cell and atoms:
```
data_Li2MnP3O10
_cell_length_a 4.6743
_cell_length_b 8.6133
_cell_length_c 9.3621
_cell_angle_alpha 90.00
_cell_angle_beta 97.96
_cell_angle_gamma 90.00
_symmetry_space_group_name_H-M 'P 1 21/m 1'
_symmetry_Int_Tables_number 11
loop_
_symmetry_equiv_pos_as_xyz
'x,y,z'
'-x,-y,-z'
'-x,y+1/2,-z'
'x,-y+1/2,z'
loop_
_atom_site_label
_atom_site_fract_x
_atom_site_fract_y
_atom_site_fract_z
_atom_site_occupancy
Li1 0.0398 0.0792 0.3762 1
Mn1 0.0000 0.0000 0.0000 1
P1 0.3295 0.2500 0.8303 1
P2 0.4002 0.7500 0.4725 1
P3 0.4682 0.2500 0.1374 1
O1 0.1489 0.1018 0.8398 1
O2 0.2263 0.6024 0.4712 1
O3 0.2524 0.7500 0.7640 1
O4 0.2811 0.1019 0.1380 1
O5 0.3103 0.2500 0.4330 1
O6 0.4235 0.7500 0.0272 1
O7 0.4970 0.7500 0.2943 1
```